Diffraction record for Er5Tl3. The PXRD pattern is theoretical, not measured: it uses a crystal structure in Alexandria, relaxed with GGA-PBE and Cu Kα, 1.54184 Å.
Kinematic intensities with the Lorentz-polarization factor, no thermal factor.

Most intense lines, 2θ from 15° to 90°, by angle:
d [Å]	intensity
2.985	10
2.851	100
2.643	15
2.544	48
2.338	9
1.800	16
1.721	8
1.423	21

Cell and atoms:
Cell lengths 9.030, 9.030, 9.030 Å; angles 127.10, 127.10, 78.09 degrees
Fractional coordinates of all 16 atoms:
Er: 0.000 0.000 0.000
Er: 0.005 0.505 0.815
Er: 0.189 0.005 0.500
Er: 0.311 0.811 0.815
Er: 0.495 0.311 0.500
Er: 0.500 0.500 0.000
Er: 0.505 0.689 0.500
Er: 0.689 0.189 0.185
Er: 0.811 0.995 0.500
Er: 0.995 0.495 0.185
Tl: 0.138 0.362 0.500
Tl: 0.250 0.250 0.000
Tl: 0.362 0.862 0.225
Tl: 0.638 0.138 0.775
Tl: 0.750 0.750 0.000
Tl: 0.862 0.638 0.500